For InSi2Pd8, a PBE-relaxed structure gives the calculated powder X-ray diffraction pattern in this record (λ = 1.5418 Å (Cu Kα)).
Kinematic intensities with the Lorentz-polarization factor, no thermal factor.

Top 8 peaks for 10 to 90 degrees two-theta, by intensity:
| 2θ/deg | I (rel.) |
| --- | --- |
| 40.80 | 100 |
| 43.80 | 23 |
| 46.42 | 21 |
| 39.22 | 21 |
| 29.83 | 21 |
| 39.04 | 20 |
| 78.45 | 20 |
| 65.72 | 14 |

Structural model:
```
InSi2Pd8
1.0
-1.956 3.523 6.200
1.956 -3.523 6.200
1.956 3.523 -6.200
In Si Pd
1 2 8
Cartesian
0.000 0.000 0.000
0.000 0.000 3.990
0.000 0.000 8.411
1.956 -1.501 4.137
1.956 0.000 1.872
1.956 2.163 0.000
0.000 2.021 2.063
1.956 1.501 4.137
0.000 1.360 6.200
0.000 3.523 4.328
0.000 5.024 2.063
```